Structure and theoretical X-ray powder pattern of CaNdZrCrO6 (a structure optimized by DFT (PBE+U); Cu Kα X-rays).
Neutral-atom scattering factors, no anomalous dispersion.

Crystal structure
Cell: 8.032 8.032 8.032 Å, 90.00 90.00 90.00°
Space group F-43m (No. 216)
Unique sites:
1 Ca 0.000 0.000 0.000 (multiplicity 4)
2 Nd 0.000 0.000 0.500 (multiplicity 4)
3 Zr 0.250 0.250 0.750 (multiplicity 4)
4 Cr 0.250 0.250 0.250 (multiplicity 4)
5 O 0.006 0.250 0.250 (multiplicity 24)

Most intense lines, 10° ≤ 2θ ≤ 80°, in order of rising 2θ:
h k l, 2θ (°), I_rel
1 1 1, 19.14, 28
2 2 0, 31.50, 100
3 1 1, 37.12, 17
4 0 0, 45.15, 36
3 3 1, 49.46, 8
4 2 2, 56.09, 38
4 4 0, 65.77, 21
6 2 0, 74.75, 16

---

Structure and theoretical X-ray powder pattern of CaCrNiP2O9 (a structure optimized by DFT (PBE+U); Cu Kα X-rays).
Neutral-atom scattering factors, no anomalous dispersion.

Crystal structure
Cell: 14.181 6.461 7.512 Å, 90.00 90.00 90.00°
Space group Pnma (No. 62)
Unique sites:
1 Ca 0.221 0.250 0.121 (multiplicity 4)
2 Cr 0.116 0.250 0.651 (multiplicity 4)
3 Ni 0.000 0.000 0.000 (multiplicity 4)
4 P 0.061 0.750 0.651 (multiplicity 4)
5 P 0.194 0.750 0.111 (multiplicity 4)
6 O 0.013 0.750 0.834 (multiplicity 4)
7 O 0.016 0.250 0.491 (multiplicity 4)
8 O 0.056 0.250 0.855 (multiplicity 4)
9 O 0.129 0.562 0.633 (multiplicity 8)
10 O 0.134 0.552 0.106 (multiplicity 8)
11 O 0.228 0.250 0.462 (multiplicity 4)
12 O 0.241 0.250 0.782 (multiplicity 4)

Most intense lines, 10° ≤ 2θ ≤ 80°, in order of rising 2θ:
h k l, 2θ (°), I_rel
1 0 1, 13.34, 30
2 0 1, 17.20, 34
1 0 2, 24.52, 100
0 2 0, 27.61, 29
4 0 1, 27.83, 29
1 2 1, 30.78, 47
5 0 1, 33.78, 33
5 2 3, 56.71, 36

---

Structure and theoretical X-ray powder pattern of CaCr2O7 (a structure optimized by DFT (PBE+U); Cu Kα X-rays).
Neutral-atom scattering factors, no anomalous dispersion.

Crystal structure
Cell: 6.904 7.142 8.146 Å, 90.00 109.21 90.00°
Space group P2_1 (No. 4)
Unique sites:
1 Ca 0.123 0.000 0.158 (multiplicity 2)
2 Cr 0.102 0.519 0.289 (multiplicity 2)
3 Cr 0.328 0.551 0.700 (multiplicity 2)
4 O 0.063 0.653 0.110 (multiplicity 2)
5 O 0.111 0.992 0.678 (multiplicity 2)
6 O 0.125 0.442 0.718 (multiplicity 2)
7 O 0.184 0.311 0.252 (multiplicity 2)
8 O 0.271 0.626 0.477 (multiplicity 2)
9 O 0.381 0.727 0.828 (multiplicity 2)
10 O 0.468 0.915 0.252 (multiplicity 2)

Most intense lines, 10° ≤ 2θ ≤ 80°, in order of rising 2θ:
h k l, 2θ (°), I_rel
1 0 0, 13.58, 39
1 1 0, 18.43, 50
1 1 -1, 19.22, 100
0 0 2, 23.12, 64
0 2 0, 24.94, 45
2 0 -1, 25.94, 46
1 1 2, 33.15, 23
1 1 -3, 35.44, 25